Entry 1:
The following is a theoretical powder diffractogram of RbVSn2Cl8. It was derived from a cell relaxed with GGA-PBE, using Cu Ka.
Kinematic intensities with the Lorentz-polarization factor, no thermal factor.

Atomic structure:
abc: 6.6022 7.5996 8.5364
angles: 65.55 89.05 86.92
Space group P-1 (No. 2)
Asymmetric unit:
Rb 0.0000 0.0000 0.0000 (multiplicity 1)
V 0.0000 0.0000 0.5000 (multiplicity 1)
Sn 0.4920 0.3075 0.2634 (multiplicity 2)
Cl 0.0928 0.2594 0.2248 (multiplicity 2)
Cl 0.1858 0.7712 0.4329 (multiplicity 2)
Cl 0.2960 0.0606 0.6301 (multiplicity 2)
Cl 0.4520 0.7131 0.0361 (multiplicity 2)

Main lines, low angle first (2θ from 10° to 90°):
2θ (°)	intensity	h k l
13.16	100	0 1 1
18.11	37	1 1 0
18.42	34	1 1 1
26.54	36	1 0 -2
27.05	33	2 0 0
31.47	38	0 1 3
34.73	27	2 -1 1
35.82	38	1 -2 1
39.11	27	0 3 0
39.45	27	-1 3 2


Entry 2:
The following is a theoretical powder diffractogram of TmZnCd. It was derived from a cell relaxed with GGA-PBE, using Cu Ka.
Kinematic intensities with the Lorentz-polarization factor, no thermal factor.

Atomic structure:
abc: 4.6745 3.4290 8.1752
angles: 90.00 90.00 90.00
Space group Pmma (No. 51)
Asymmetric unit:
Tm 0.2500 0.0000 0.2282 (multiplicity 2)
Zn 0.2500 0.5000 0.9239 (multiplicity 2)
Cd 0.2500 0.5000 0.5922 (multiplicity 2)

Main lines, low angle first (2θ from 10° to 90°):
2θ (°)	intensity	h k l
34.13	45	0 1 2
34.24	100	1 1 1
38.23	61	1 0 3
38.52	33	2 0 0
52.10	13	0 1 4
52.40	27	2 1 2
53.44	13	0 2 0
66.62	12	2 1 4
66.95	14	3 1 1
67.59	22	1 2 3